Record 1
Computed powder X-ray diffraction pattern
Compound: MgTl4V4Te4O20
Radiation: Cu Kα (weighted mean of Kα1 and Kα2)
Structure: DFT lattice parameters and positions (GGA+U)
Neutral-atom scattering factors, no anomalous dispersion.

The 8 most intense peaks (10 to 80 degrees two-theta), by intensity:
- hkl 1 -2 1, 27.35°, I = 100
- hkl 2 0 0, 24.61°, I = 98
- hkl 1 2 1, 28.14°, I = 88
- hkl -1 2 1, 27.91°, I = 82
- hkl 1 -1 2, 25.42°, I = 56
- hkl 1 1 2, 26.20°, I = 53
- hkl -1 1 2, 25.85°, I = 51
- hkl 1 0 3, 31.96°, I = 46

Atomic structure:
```
data_MgTl4V4Te4O20
_cell_length_a 7.2354
_cell_length_b 7.8309
_cell_length_c 9.1820
_cell_angle_alpha 92.39
_cell_angle_beta 90.90
_cell_angle_gamma 90.22
_symmetry_space_group_name_H-M 'P 1'
_symmetry_Int_Tables_number 1
_symmetry_space_group_name_Hall 'P 1'
loop_
_atom_site_label
_atom_site_fract_x
_atom_site_fract_y
_atom_site_fract_z
Mg1 0.0000 0.0000 0.0000
Tl1 0.0708 0.5833 0.0078
Tl2 0.1559 0.1528 0.7229
Tl3 0.5745 0.6234 0.3186
Tl4 0.6098 0.1139 0.5077
V1 0.2826 0.2257 0.1488
V2 0.3778 0.7355 0.6535
V3 0.7818 0.2381 0.1458
V4 0.8882 0.7232 0.6678
Te1 0.0719 0.4189 0.4289
Te2 0.0990 0.9117 0.3718
Te3 0.5632 0.4193 0.8771
Te4 0.5829 0.9209 0.9369
O1 0.0244 0.2578 0.0606
O2 0.1292 0.7873 0.7242
O3 0.1817 0.1518 0.3321
O4 0.2176 0.4660 0.2645
O5 0.2661 0.0175 0.0661
O6 0.3255 0.8754 0.4787
O7 0.3386 0.3597 0.9779
O8 0.3575 0.5314 0.5794
O9 0.4539 0.9697 0.7628
O10 0.4744 0.6579 0.8576
O11 0.5119 0.2339 0.2076
O12 0.6614 0.7630 0.6003
O13 0.6817 0.1601 0.9424
O14 0.7087 0.4705 0.0476
O15 0.8231 0.0179 0.1738
O16 0.8306 0.8638 0.8573
O17 0.8404 0.3644 0.3272
O18 0.8732 0.5243 0.7295
O19 0.9483 0.9971 0.5220
O20 0.9841 0.6570 0.4656
```

=====

Record 2
Computed powder X-ray diffraction pattern
Compound: MgTl4V4Te4O20
Radiation: Cu Kα (weighted mean of Kα1 and Kα2)
Structure: DFT lattice parameters and positions (GGA+U)
Neutral-atom scattering factors, no anomalous dispersion.

The 8 most intense peaks (10 to 80 degrees two-theta), by intensity:
- hkl 1 -2 1, 27.63°, I = 100
- hkl 2 0 0, 25.01°, I = 47
- hkl 1 0 3, 30.98°, I = 40
- hkl 1 1 -2, 26.04°, I = 37
- hkl -1 2 1, 27.15°, I = 35
- hkl -2 1 1, 29.34°, I = 34
- hkl 1 1 2, 24.45°, I = 30
- hkl 1 -1 2, 25.59°, I = 28

Atomic structure:
```
data_MgTl4V4Te4O20
_cell_length_a 7.1281
_cell_length_b 8.0527
_cell_length_c 9.3572
_cell_angle_alpha 86.89
_cell_angle_beta 87.90
_cell_angle_gamma 88.83
_symmetry_space_group_name_H-M 'P 1'
_symmetry_Int_Tables_number 1
_symmetry_space_group_name_Hall 'P 1'
loop_
_atom_site_label
_atom_site_fract_x
_atom_site_fract_y
_atom_site_fract_z
Mg1 0.0000 0.0000 0.0000
Tl1 0.1847 0.2777 0.1479
Tl2 0.1946 0.6522 0.8818
Tl3 0.6232 0.7364 0.6031
Tl4 0.6492 0.2467 0.4112
V1 0.3224 0.1422 0.7539
V2 0.4379 0.6287 0.2627
V3 0.8242 0.1243 0.7406
V4 0.9453 0.6355 0.2408
Te1 0.1111 0.9263 0.4752
Te2 0.1344 0.4448 0.5347
Te3 0.5786 0.9281 0.0357
Te4 0.6814 0.4229 0.9852
O1 0.0156 0.7062 0.4401
O2 0.0745 0.0811 0.8082
O3 0.2135 0.5765 0.1834
O4 0.2367 0.2140 0.5670
O5 0.2624 0.8540 0.6252
O6 0.3402 0.3274 0.8267
O7 0.3527 0.9823 0.9349
O8 0.3742 0.5013 0.4355
O9 0.3931 0.8261 0.3061
O10 0.5224 0.6948 0.0535
O11 0.5263 0.3668 0.1472
O12 0.5545 0.0889 0.7017
O13 0.6876 0.6110 0.3049
O14 0.7711 0.8986 0.8901
O15 0.7760 0.1962 0.9618
O16 0.8415 0.3251 0.6735
O17 0.8773 0.9850 0.5769
O18 0.9014 0.4933 0.0767
O19 0.9502 0.8375 0.1624
O20 0.9987 0.3960 0.3723
```

=====

Record 3
Computed powder X-ray diffraction pattern
Compound: MgTl4V4Te4O20
Radiation: Cu Kα (weighted mean of Kα1 and Kα2)
Structure: DFT lattice parameters and positions (GGA+U)
Neutral-atom scattering factors, no anomalous dispersion.

The 8 most intense peaks (10 to 80 degrees two-theta), by intensity:
- hkl 2 0 0, 25.19°, I = 100
- hkl 1 2 -1, 26.25°, I = 97
- hkl 1 -2 1, 26.45°, I = 59
- hkl -1 1 2, 25.63°, I = 42
- hkl -2 1 1, 29.10°, I = 38
- hkl -1 2 1, 27.16°, I = 31
- hkl 1 2 1, 27.48°, I = 31
- hkl 0 2 2, 29.91°, I = 29

Atomic structure:
```
data_MgTl4V4Te4O20
_cell_length_a 7.0699
_cell_length_b 8.2498
_cell_length_c 9.2792
_cell_angle_alpha 93.50
_cell_angle_beta 91.60
_cell_angle_gamma 90.14
_symmetry_space_group_name_H-M 'P 1'
_symmetry_Int_Tables_number 1
_symmetry_space_group_name_Hall 'P 1'
loop_
_atom_site_label
_atom_site_fract_x
_atom_site_fract_y
_atom_site_fract_z
Mg1 0.0000 0.0000 0.0000
Tl1 0.4256 0.3580 0.5469
Tl2 0.4522 0.8695 0.7567
Tl3 0.8983 0.6953 0.0911
Tl4 0.9245 0.3473 0.3019
V1 0.1422 0.7541 0.4118
V2 0.2537 0.2670 0.8978
V3 0.6418 0.7353 0.4254
V4 0.7434 0.2538 0.9215
Te1 0.4171 0.5451 0.1361
Te2 0.4739 0.0324 0.1795
Te3 0.9177 0.5393 0.6942
Te4 0.9491 0.0472 0.6317
O1 0.0204 0.2307 0.9787
O2 0.0511 0.8280 0.6017
O3 0.0705 0.4772 0.5398
O4 0.1655 0.9330 0.3379
O5 0.1836 0.1198 0.7334
O6 0.1850 0.5945 0.2377
O7 0.2316 0.4555 0.8428
O8 0.2881 0.9726 0.0329
O9 0.3482 0.3167 0.0979
O10 0.3690 0.7083 0.4785
O11 0.4937 0.2105 0.8489
O12 0.5580 0.8155 0.2167
O13 0.5711 0.5101 0.3005
O14 0.6682 0.9289 0.5061
O15 0.6906 0.5980 0.5901
O16 0.7025 0.0810 0.0718
O17 0.7265 0.4415 0.0125
O18 0.8180 0.3235 0.7258
O19 0.8350 0.0029 0.8091
O20 0.8895 0.6928 0.3498
```